Computed powder diffraction line list of LiGe2SeS6 for Cu Kα, 1.54184 Å, from DFT lattice parameters and positions (PBE).
Peak positions follow from Bragg's law for the DFT cell and can differ from measured ones.

Peak list (6 most intense, 15 to 90 degrees two-theta, in order of rising 2θ)
- 21.64 deg, rel. 1000, hkl 0 2 1
- 23.08 deg, rel. 557, hkl 3 1 -1
- 28.20 deg, rel. 551, hkl 0 0 2
- 31.13 deg, rel. 414, hkl 3 1 1
- 33.02 deg, rel. 428, hkl 4 0 -2
- 51.35 deg, rel. 390, hkl 5 3 1

```
data_LiGe2SeS6
_symmetry_space_group_name_H-M 'C 1 2/c 1'
_symmetry_Int_Tables_number 15
_symmetry_space_group_name_Hall '-C 2yc'
_cell_length_a 12.9734
_cell_length_b 10.7779
_cell_length_c 6.7582
_cell_angle_alpha 90.00
_cell_angle_beta 110.24
_cell_angle_gamma 90.00
loop_
_atom_site_label
_atom_site_type_symbol
_atom_site_fract_x
_atom_site_fract_y
_atom_site_fract_z
_atom_site_occupancy
Li1 Li 0.0000 0.1173 0.2500 1
Ge1 Ge 0.1978 0.4097 0.2241 1
Se1 Se 0.0000 0.2307 0.7500 1
S1 S 0.1138 0.0892 0.6390 1
S2 S 0.1262 0.4366 0.4873 1
S3 S 0.1386 0.2186 0.1168 1
```